(1)
# Ge6Ir3Pt
Theoretical powder XRD pattern, Cu Kα. Input: a GGA-PBE-relaxed structure.

Structure:
```
data_Ge6Ir3Pt
_chemical_formula_sum 'Ge18 Ir9 Pt3'
_cell_length_a 6.2921
_cell_length_b 6.2921
_cell_length_c 16.4331
_cell_angle_alpha 90.00
_cell_angle_beta 90.00
_cell_angle_gamma 120.00
_space_group_name_H-M_alt 'R 3'
_space_group_IT_number 146
_space_group_name_Hall 'R 3'
loop_
_atom_site_label
_atom_site_type_symbol
_atom_site_fract_x
_atom_site_fract_y
_atom_site_fract_z
_atom_site_occupancy
Ge1 Ge 0.0055 0.3267 0.0000 1
Ge2 Ge 0.0046 0.6521 0.1646 1
Ir1 Ir 0.0000 0.0000 0.0828 1
Ir2 Ir 0.0000 0.0000 0.5817 1
Ir3 Ir 0.0000 0.0000 0.7520 1
Pt1 Pt 0.0000 0.0000 0.2533 1
```

The 6 most intense peaks (5° ≤ 2θ ≤ 70°), sorted by position:
4.541 Å, rel. 48; 3.280 Å, rel. 34; 3.146 Å, rel. 47; 2.728 Å, rel. 35; 2.066 Å, rel. 100; 1.816 Å, rel. 50

=====

(2)
# LaDy6Tm
Theoretical powder XRD pattern, Cu Kα. Input: a GGA-PBE-relaxed structure.

Structure:
```
data_LaDy6Tm
_chemical_formula_sum 'La1 Dy6 Tm1'
_cell_length_a 5.0429
_cell_length_b 5.0429
_cell_length_c 10.0751
_cell_angle_alpha 90.00
_cell_angle_beta 90.00
_cell_angle_gamma 90.00
_space_group_name_H-M_alt 'P 4/m m m'
_space_group_IT_number 123
_space_group_name_Hall '-P 4 2'
loop_
_atom_site_label
_atom_site_type_symbol
_atom_site_fract_x
_atom_site_fract_y
_atom_site_fract_z
_atom_site_occupancy
La1 La 0.0000 0.0000 0.0000 1
Dy1 Dy 0.0000 0.5000 0.2552 1
Dy2 Dy 0.5000 0.5000 0.0000 1
Dy3 Dy 0.5000 0.5000 0.5000 1
Tm1 Tm 0.0000 0.0000 0.5000 1
```

The 6 most intense peaks (5° ≤ 2θ ≤ 70°), sorted by position:
10.075 Å, rel. 1; 2.910 Å, rel. 100; 2.521 Å, rel. 51; 1.782 Å, rel. 36; 1.520 Å, rel. 43; 1.455 Å, rel. 12

=====

(3)
# ErMg2Cu9
Theoretical powder XRD pattern, Cu Kα. Input: a GGA-PBE-relaxed structure.

Structure:
```
data_ErMg2Cu9
_chemical_formula_sum 'Er3 Mg6 Cu27'
_cell_length_a 5.0245
_cell_length_b 5.0245
_cell_length_c 24.1163
_cell_angle_alpha 90.00
_cell_angle_beta 90.00
_cell_angle_gamma 120.00
_space_group_name_H-M_alt 'R -3 m'
_space_group_IT_number 166
_space_group_name_Hall '-R 3 2"'
loop_
_atom_site_label
_atom_site_type_symbol
_atom_site_fract_x
_atom_site_fract_y
_atom_site_fract_z
_atom_site_occupancy
Er1 Er 0.0000 0.0000 0.0000 1
Mg1 Mg 0.0000 0.0000 0.1447 1
Cu1 Cu 0.0000 0.0000 0.3332 1
Cu2 Cu 0.0000 0.0000 0.5000 1
Cu3 Cu 0.0027 0.5013 0.9156 1
```

The 6 most intense peaks (5° ≤ 2θ ≤ 70°), sorted by position:
8.039 Å, rel. 45; 3.528 Å, rel. 26; 2.512 Å, rel. 22; 2.167 Å, rel. 31; 2.130 Å, rel. 100; 2.010 Å, rel. 28

=====

(4)
# Ti2HgSe2
Theoretical powder XRD pattern, Cu Kα. Input: a GGA-PBE-relaxed structure.

Structure:
```
data_Ti2HgSe2
_chemical_formula_sum 'Ti4 Hg2 Se4'
_cell_length_a 4.4578
_cell_length_b 4.4578
_cell_length_c 11.1976
_cell_angle_alpha 90.00
_cell_angle_beta 90.00
_cell_angle_gamma 90.00
_space_group_name_H-M_alt 'I 4/m m m'
_space_group_IT_number 139
_space_group_name_Hall '-I 4 2'
loop_
_atom_site_label
_atom_site_type_symbol
_atom_site_fract_x
_atom_site_fract_y
_atom_site_fract_z
_atom_site_occupancy
Ti1 Ti 0.0000 0.5000 0.2500 1
Hg1 Hg 0.0000 0.0000 0.0000 1
Se1 Se 0.0000 0.0000 0.3565 1
```

The 6 most intense peaks (5° ≤ 2θ ≤ 70°), sorted by position:
3.152 Å, rel. 38; 2.862 Å, rel. 100; 2.747 Å, rel. 51; 2.229 Å, rel. 43; 1.758 Å, rel. 48; 1.606 Å, rel. 23

=====

(5)
# AgPbAuS2
Theoretical powder XRD pattern, Cu Kα. Input: a GGA-PBE-relaxed structure.

Structure:
```
data_AgPbAuS2
_chemical_formula_sum 'Ag2 Pb2 Au2 S4'
_cell_length_a 6.9365
_cell_length_b 4.6698
_cell_length_c 7.5122
_cell_angle_alpha 90.00
_cell_angle_beta 103.44
_cell_angle_gamma 90.00
_space_group_name_H-M_alt 'P 1 2/c 1'
_space_group_IT_number 13
loop_
_space_group_symop_operation_xyz
'x,y,z'
'-x,-y,-z'
'-x,y,-z+1/2'
'x,-y,z+1/2'
loop_
_atom_site_label
_atom_site_type_symbol
_atom_site_fract_x
_atom_site_fract_y
_atom_site_fract_z
_atom_site_occupancy
Ag1 Ag 0.0000 0.0041 0.2500 1
Pb1 Pb 0.5000 0.3366 0.7500 1
Au1 Au 0.0000 0.5000 0.0000 1
S1 S 0.2760 0.1987 0.0357 1
```

The 6 most intense peaks (5° ≤ 2θ ≤ 70°), sorted by position:
3.580 Å, rel. 50; 3.373 Å, rel. 93; 3.228 Å, rel. 47; 2.841 Å, rel. 100; 2.487 Å, rel. 76; 2.206 Å, rel. 50

=====

(6)
# Pa3Fe2Ni9
Theoretical powder XRD pattern, Cu Kα. Input: a GGA-PBE-relaxed structure.

Structure:
```
data_Pa3Fe2Ni9
_chemical_formula_sum 'Pa6 Fe4 Ni18'
_cell_length_a 4.0631
_cell_length_b 8.6501
_cell_length_c 11.4504
_cell_angle_alpha 90.00
_cell_angle_beta 90.00
_cell_angle_gamma 90.00
_space_group_name_H-M_alt 'I m m m'
_space_group_IT_number 71
_space_group_name_Hall '-I 2 2'
loop_
_atom_site_label
_atom_site_type_symbol
_atom_site_fract_x
_atom_site_fract_y
_atom_site_fract_z
_atom_site_occupancy
Pa1 Pa 0.0000 0.0000 0.0000 1
Pa2 Pa 0.0000 0.0000 0.3063 1
Fe1 Fe 0.0000 0.1834 0.5000 1
Ni1 Ni 0.0000 0.2692 0.1148 1
Ni2 Ni 0.0000 0.3580 0.3265 1
Ni3 Ni 0.0000 0.5000 0.0000 1
```

The 6 most intense peaks (5° ≤ 2θ ≤ 70°), sorted by position:
3.678 Å, rel. 48; 2.782 Å, rel. 51; 2.351 Å, rel. 48; 2.340 Å, rel. 100; 2.301 Å, rel. 47; 2.032 Å, rel. 43